(1)
Diffraction record for TcAg2BiAu. The powder diffraction line list is simulated, not measured: it uses DFT lattice parameters and positions (PBE) and a wavelength of 1.5418 Å.

Largest 10 diffraction maxima, low angle first, 10 to 80 degrees two-theta:
two_theta	I (rel.)
17.4	92
24.7	35
29.8	65
33.4	57
35.2	100
37.9	28
39.5	26
49.3	76
50.6	35
62.0	38

Crystal structure
```
data_TcAg2BiAu
_space_group_name_H-M_alt 'P 4/m m m'
_space_group_IT_number 123
_space_group_name_Hall '-P 4 2'
_cell_length_a 5.1043
_cell_length_b 5.1043
_cell_length_c 5.3618
_cell_angle_alpha 90.00
_cell_angle_beta 90.00
_cell_angle_gamma 90.00
loop_
_atom_site_label
_atom_site_fract_x
_atom_site_fract_y
_atom_site_fract_z
_atom_site_occupancy
Tc1 0.0000 0.0000 0.0000 1
Ag1 0.0000 0.5000 0.5000 1
Bi1 0.5000 0.5000 0.0000 1
Au1 0.5000 0.5000 0.5000 1
```


(2)
Diffraction record for CeHfTa4. The powder diffraction line list is simulated, not measured: it uses DFT lattice parameters and positions (PBE) and a wavelength of 1.5418 Å.

Largest 10 diffraction maxima, low angle first, 10 to 80 degrees two-theta:
two_theta	I (rel.)
19.3	10
31.8	23
37.5	100
39.2	45
45.6	7
56.7	9
60.4	34
66.4	30
78.9	12
80.0	17

Crystal structure
```
data_CeHfTa4
_space_group_name_H-M_alt 'F -4 3 m'
_space_group_IT_number 216
_space_group_name_Hall 'F -4 2 3'
_cell_length_a 7.9594
_cell_length_b 7.9594
_cell_length_c 7.9594
_cell_angle_alpha 90.00
_cell_angle_beta 90.00
_cell_angle_gamma 90.00
loop_
_atom_site_label
_atom_site_fract_x
_atom_site_fract_y
_atom_site_fract_z
_atom_site_occupancy
Ce1 0.0000 0.0000 0.0000 1
Hf1 0.2500 0.2500 0.7500 1
Ta1 0.1252 0.1252 0.3748 1
```


(3)
Diffraction record for Er7Cd2Sb2. The powder diffraction line list is simulated, not measured: it uses DFT lattice parameters and positions (PBE) and a wavelength of 1.5418 Å.

Largest 10 diffraction maxima, low angle first, 10 to 80 degrees two-theta:
two_theta	I (rel.)
24.7	43
27.2	57
27.4	49
32.3	18
33.0	62
35.9	23
36.2	46
36.4	100
43.2	20
44.1	21

Crystal structure
```
data_Er7Cd2Sb2
_space_group_name_H-M_alt 'C m m m'
_space_group_IT_number 65
_space_group_name_Hall '-C 2 2'
_cell_length_a 8.2069
_cell_length_b 10.8501
_cell_length_c 7.4996
_cell_angle_alpha 90.00
_cell_angle_beta 90.00
_cell_angle_gamma 90.00
loop_
_atom_site_label
_atom_site_fract_x
_atom_site_fract_y
_atom_site_fract_z
_atom_site_occupancy
Er1 0.0000 0.0000 0.0000 1
Er2 0.0000 0.5000 0.2730 1
Er3 0.2500 0.2500 0.2817 1
Cd1 0.1731 0.0000 0.5000 1
Sb1 0.0000 0.2862 0.0000 1
```


(4)
Diffraction record for K3Pt2Pb5. The powder diffraction line list is simulated, not measured: it uses DFT lattice parameters and positions (PBE) and a wavelength of 1.5418 Å.

Largest 10 diffraction maxima, low angle first, 10 to 80 degrees two-theta:
two_theta	I (rel.)
12.0	22
14.6	23
18.4	84
27.9	21
28.2	100
34.2	72
37.6	18
38.3	69
41.0	19
57.5	29

Crystal structure
```
data_K3Pt2Pb5
_space_group_name_H-M_alt 'I b a m'
_space_group_IT_number 72
_space_group_name_Hall '-I 2 2c'
_cell_length_a 12.1380
_cell_length_b 14.8071
_cell_length_c 7.4342
_cell_angle_alpha 90.00
_cell_angle_beta 90.00
_cell_angle_gamma 90.00
loop_
_atom_site_label
_atom_site_fract_x
_atom_site_fract_y
_atom_site_fract_z
_atom_site_occupancy
K1 0.0000 0.0000 0.2500 1
K2 0.2483 0.3637 0.0000 1
Pt1 0.1191 0.1598 0.0000 1
Pb1 0.0000 0.2550 0.2500 1
Pb2 0.0000 0.5000 0.2500 1
Pb3 0.1638 0.3781 0.5000 1
```


Q: Number 1 is which compound?
A: TcAg2BiAu